# 1
Starting from DFT lattice parameters and positions (GGA+U), the powder XRD pattern of KPrMo2O8 was simulated for CuKα.
Peak positions follow from Bragg's law for the DFT cell and can differ from measured ones.

Atomic structure:
```
KPrMo2O8
1.0
5.4957 -5.3553 0.0000
5.4957 5.3553 0.0000
-5.2951 0.0000 5.9627
K Pr Mo O
2 2 4 16
direct
0.2004 0.7996 0.7500
0.7996 0.2004 0.2500
0.2297 0.7703 0.2500
0.7703 0.2297 0.7500
0.3037 0.3081 0.7605
0.3081 0.3037 0.2605
0.6919 0.6963 0.7395
0.6963 0.6919 0.2395
0.0543 0.2060 0.6903
0.0745 0.3851 0.1324
0.2060 0.0543 0.1903
0.2335 0.3856 0.5639
0.3694 0.5812 0.0242
0.3851 0.0745 0.6324
0.3856 0.2335 0.0640
0.4188 0.6306 0.4758
0.5812 0.3694 0.5242
0.6144 0.7665 0.9360
0.6149 0.9255 0.3676
0.6306 0.4188 0.9758
0.7665 0.6144 0.4360
0.7940 0.9457 0.8097
0.9255 0.6149 0.8676
0.9457 0.7940 0.3097
```

Top 10 peaks for 15° ≤ 2θ ≤ 90°, in order of rising 2θ:
d/Å	I/Imax
3.299	31
3.275	18
3.260	100
3.191	92
2.981	42
2.678	17
2.654	15
1.992	30
1.918	16
1.748	20

# 2
Starting from DFT lattice parameters and positions (GGA+U), the powder XRD pattern of K3ReMoO8 was simulated for CuKα.
Peak positions follow from Bragg's law for the DFT cell and can differ from measured ones.

Atomic structure:
```
K3ReMoO8
1.0
3.1121 1.7968 7.1735
-3.1121 1.7968 7.1735
0.0000 -3.5936 7.1735
K Re Mo O
3 1 1 8
direct
0.0000 0.0000 0.0000
0.1882 0.1882 0.1882
0.7963 0.7963 0.7963
0.5908 0.5908 0.5908
0.3983 0.3983 0.3983
0.2560 0.7178 0.7178
0.2701 0.2701 0.7421
0.2701 0.7421 0.2701
0.3146 0.3146 0.3146
0.6719 0.6719 0.6719
0.7178 0.2560 0.7178
0.7178 0.7178 0.2560
0.7421 0.2701 0.2701
```

Top 10 peaks for 15° ≤ 2θ ≤ 90°, in order of rising 2θ:
d/Å	I/Imax
5.229	81
4.819	27
3.808	40
3.363	100
3.112	100
2.284	44
1.999	33
1.841	36
1.556	24
1.480	24

# 3
Starting from DFT lattice parameters and positions (GGA+U), the powder XRD pattern of K2MoS3O was simulated for CuKα.
Peak positions follow from Bragg's law for the DFT cell and can differ from measured ones.

Atomic structure:
```
K2MoS3O
1.0
9.3399 0.0000 0.0000
0.0000 7.2942 0.0000
0.0000 0.0000 11.5642
K Mo S O
8 4 12 4
direct
0.0479 0.2500 0.1926
0.1597 0.7500 0.3770
0.3403 0.2500 0.8770
0.4521 0.7500 0.6926
0.5479 0.2500 0.3074
0.6597 0.7500 0.1230
0.8403 0.2500 0.6230
0.9521 0.7500 0.8074
0.2393 0.7500 0.0480
0.2607 0.2500 0.5480
0.7393 0.7500 0.4520
0.7607 0.2500 0.9520
0.0100 0.7500 0.0976
0.1562 0.0030 0.6228
0.1562 0.4970 0.6228
0.3438 0.5030 0.1228
0.3438 0.9970 0.1228
0.4900 0.2500 0.5976
0.5100 0.7500 0.4024
0.6562 0.0030 0.8772
0.6562 0.4970 0.8772
0.8438 0.5030 0.3772
0.8438 0.9970 0.3772
0.9900 0.2500 0.9024
0.2433 0.2500 0.3956
0.2567 0.7500 0.8956
0.7433 0.2500 0.1044
0.7567 0.7500 0.6044
```

Top 10 peaks for 15° ≤ 2θ ≤ 90°, in order of rising 2θ:
d/Å	I/Imax
5.148	100
4.916	36
4.670	25
3.641	78
3.408	59
3.202	36
2.790	31
2.779	43
2.574	25
1.676	29

# 4
Starting from DFT lattice parameters and positions (GGA+U), the powder XRD pattern of K2MoSO3 was simulated for CuKα.
Peak positions follow from Bragg's law for the DFT cell and can differ from measured ones.

Atomic structure:
```
K2MoSO3
1.0
6.5311 -3.1226 0.0000
6.5311 3.1226 0.0000
-2.6601 0.0000 7.4021
K Mo S O
4 2 2 6
direct
0.0078 0.0078 0.2946
0.3263 0.3263 0.7702
0.6737 0.6737 0.2298
0.9922 0.9922 0.7054
0.3495 0.3495 0.2916
0.6505 0.6505 0.7084
0.1788 0.1788 0.0875
0.8212 0.8212 0.9125
0.1303 0.6021 0.4279
0.3979 0.8697 0.5721
0.4477 0.4477 0.1797
0.5523 0.5523 0.8203
0.6021 0.1303 0.4279
0.8697 0.3979 0.5721
```

Top 10 peaks for 15° ≤ 2θ ≤ 90°, in order of rising 2θ:
d/Å	I/Imax
5.787	52
4.818	59
3.701	52
3.426	87
3.123	73
2.967	100
2.820	36
2.387	52
2.221	30
1.713	28

# 5
Starting from DFT lattice parameters and positions (GGA+U), the powder XRD pattern of KSbMo2O8 was simulated for CuKα.
Peak positions follow from Bragg's law for the DFT cell and can differ from measured ones.

Atomic structure:
```
KSbMo2O8
1.0
5.1042 0.0000 0.0000
-2.2911 7.2025 0.0000
-1.9138 -0.7057 10.2387
K Sb Mo O
2 2 4 16
direct
0.0968 0.4637 0.1883
0.9032 0.5363 0.8117
0.4480 0.0300 0.3080
0.5520 0.9700 0.6920
0.1425 0.2556 0.5734
0.2879 0.1354 0.9600
0.7121 0.8646 0.0400
0.8575 0.7444 0.4266
0.0054 0.3098 0.4177
0.1282 0.0312 0.1148
0.1409 0.7919 0.3260
0.2343 0.3517 0.9615
0.3036 0.0725 0.5336
0.3641 0.8258 0.9466
0.3657 0.1211 0.7869
0.3970 0.4594 0.6454
0.6030 0.5406 0.3546
0.6343 0.8789 0.2131
0.6358 0.1742 0.0534
0.6964 0.9275 0.4664
0.7657 0.6483 0.0385
0.8591 0.2081 0.6740
0.8718 0.9688 0.8852
0.9946 0.6902 0.5823
```

Top 10 peaks for 15° ≤ 2θ ≤ 90°, in order of rising 2θ:
d/Å	I/Imax
3.505	100
3.324	93
3.234	80
3.074	77
3.041	38
3.004	47
2.545	30
2.519	22
2.017	24
1.875	23

# 6
Starting from DFT lattice parameters and positions (GGA+U), the powder XRD pattern of KSbMoO5 was simulated for CuKα.
Peak positions follow from Bragg's law for the DFT cell and can differ from measured ones.

Atomic structure:
```
KSbMoO5
1.0
9.3058 0.0000 0.0000
0.0000 11.7217 0.0000
-1.7924 0.0000 5.5469
K Sb Mo O
4 4 4 20
direct
0.1074 0.1440 0.0430
0.1074 0.3560 0.5430
0.8926 0.6440 0.4570
0.8926 0.8560 0.9570
0.4630 0.1687 0.7850
0.4630 0.3313 0.2850
0.5370 0.6687 0.7150
0.5370 0.8313 0.2150
0.2167 0.5870 0.0722
0.2167 0.9130 0.5722
0.7833 0.0870 0.4278
0.7833 0.4130 0.9278
0.0606 0.6482 0.1387
0.0606 0.8518 0.6387
0.1687 0.5668 0.7574
0.1687 0.9332 0.2574
0.2673 0.0521 0.7242
0.2673 0.4479 0.2242
0.3517 0.2382 0.4641
0.3517 0.2618 0.9641
0.3831 0.6791 0.1731
0.3831 0.8209 0.6731
0.6169 0.1791 0.3269
0.6169 0.3209 0.8269
0.6483 0.7382 0.0359
0.6483 0.7618 0.5359
0.7327 0.5521 0.7758
0.7327 0.9479 0.2758
0.8313 0.0668 0.7426
0.8313 0.4332 0.2426
0.9394 0.1482 0.3613
0.9394 0.3518 0.8613
```

Top 10 peaks for 15° ≤ 2θ ≤ 90°, in order of rising 2θ:
d/Å	I/Imax
5.005	38
4.887	33
3.900	41
3.575	23
3.533	32
3.393	100
3.379	50
2.915	35
2.589	28
1.787	23

# 7
Starting from DFT lattice parameters and positions (GGA+U), the powder XRD pattern of K4Mo6Se25O was simulated for CuKα.
Peak positions follow from Bragg's law for the DFT cell and can differ from measured ones.

Atomic structure:
```
K4Mo6Se25O
1.0
6.3511 -8.7778 0.0000
6.3511 8.7778 0.0000
-6.0133 0.0000 10.3471
K Mo Se O
4 6 25 1
direct
0.1692 0.8274 0.4988
0.1687 0.8313 0.0000
0.8274 0.1692 0.4988
0.8313 0.1687 0.0000
0.3231 0.3231 0.6134
0.3379 0.3379 0.1136
0.4899 0.6814 0.7582
0.4981 0.6615 0.2451
0.6615 0.4981 0.2451
0.6814 0.4899 0.7582
0.0920 0.0920 0.4292
0.1058 0.1058 0.9316
0.1400 0.1400 0.6510
0.1536 0.1536 0.1520
0.2058 0.5084 0.6669
0.2112 0.5144 0.1479
0.3034 0.5090 0.5136
0.3139 0.5094 0.0009
0.4807 0.8650 0.9467
0.4839 0.8461 0.4320
0.4872 0.9319 0.7736
0.4883 0.9076 0.2576
0.4977 0.4977 0.3591
0.5084 0.2058 0.6669
0.5090 0.3034 0.5136
0.5094 0.3139 0.0009
0.5144 0.2112 0.1479
0.6891 0.6891 0.1525
0.6885 0.6885 0.6691
0.7766 0.7766 0.8971
0.7826 0.7826 0.3780
0.8461 0.4839 0.4320
0.8650 0.4807 0.9467
0.9076 0.4883 0.2576
0.9319 0.4872 0.7736
0.4971 0.4971 0.7764
```

Top 10 peaks for 15° ≤ 2θ ≤ 90°, in order of rising 2θ:
d/Å	I/Imax
5.660	100
5.165	20
3.584	16
3.428	29
3.104	24
2.900	16
2.672	17
2.569	45
2.438	15
1.938	24